[1]
For InHgBiTe3, DFT lattice parameters and positions (PBE) gives the calculated powder diffractogram in this record (Cu Ka).

Most intense lines, 2θ from 15° to 90°, by intensity:
Position (°2θ)	d (Å)	I (rel.)
27.11	3.289	1000
29.40	3.038	310
31.99	2.798	261
39.70	2.270	201
41.79	2.162	190
50.16	1.819	142
36.71	2.448	139
38.97	2.311	135
55.20	1.664	122
26.23	3.397	116

Structure:
abc: 9.7923 4.5405 10.7465
angles: 90.00 103.92 90.00
Fractional positions:
1 In 0.0742 0.2500 0.1396
2 In 0.9258 0.7500 0.8604
3 Hg 0.2018 0.2500 0.7577
4 Hg 0.7982 0.7500 0.2423
5 Bi 0.3380 0.7500 0.3902
6 Bi 0.6620 0.2500 0.6098
7 Te 0.1125 0.2500 0.4039
8 Te 0.2018 0.7500 0.0380
9 Te 0.4522 0.7500 0.6674
10 Te 0.5478 0.2500 0.3326
11 Te 0.7982 0.2500 0.9620
12 Te 0.8875 0.7500 0.5961

***

[2]
For HgBi2MoIr, DFT lattice parameters and positions (PBE) gives the calculated powder diffractogram in this record (Cu Ka).

Most intense lines, 2θ from 15° to 90°, by intensity:
Position (°2θ)	d (Å)	I (rel.)
33.73	2.657	1000
29.30	3.048	970
48.95	1.861	713
16.68	5.315	554
34.41	2.606	474
60.77	1.524	376
48.44	1.879	367
57.63	1.600	298
17.01	5.212	290
80.89	1.188	172

Structure:
abc: 5.3148 5.3148 5.2122
angles: 90.00 90.00 90.00
Fractional positions:
1 Hg 0.0000 0.0000 0.0000
2 Bi 0.0000 0.5000 0.5000
3 Bi 0.5000 0.0000 0.5000
4 Mo 0.5000 0.5000 0.0000
5 Ir 0.0000 0.0000 0.5000

***

[3]
For HgBi2IrSe, DFT lattice parameters and positions (PBE) gives the calculated powder diffractogram in this record (Cu Ka).

Most intense lines, 2θ from 15° to 90°, by intensity:
Position (°2θ)	d (Å)	I (rel.)
33.86	2.647	1000
29.35	3.043	946
48.98	1.860	721
16.75	5.294	658
34.31	2.614	483
60.88	1.522	380
48.65	1.872	368
16.96	5.227	347
57.83	1.594	291
38.11	2.361	195

Structure:
abc: 5.2940 5.2940 5.2272
angles: 90.00 90.00 90.00
Fractional positions:
1 Hg 0.0000 0.0000 0.0000
2 Bi 0.0000 0.5000 0.5000
3 Bi 0.5000 0.0000 0.5000
4 Ir 0.0000 0.0000 0.5000
5 Se 0.5000 0.5000 0.0000

***

[4]
For K2Hg7Bi, DFT lattice parameters and positions (PBE) gives the calculated powder diffractogram in this record (Cu Ka).

Most intense lines, 2θ from 15° to 90°, by intensity:
Position (°2θ)	d (Å)	I (rel.)
39.55	2.279	1000
33.36	2.686	978
28.24	3.160	806
18.26	4.858	653
15.56	5.696	552
63.80	1.459	507
28.79	3.101	429
47.90	1.899	389
37.01	2.429	283
44.64	2.030	261

Structure:
abc: 5.3713 5.3713 11.3916
angles: 90.00 90.00 90.00
Fractional positions:
1 K 0.0000 0.5000 0.2480
2 K 0.5000 0.0000 0.7520
3 Hg 0.0000 0.0000 0.0000
4 Hg 0.0000 0.5000 0.6306
5 Hg 0.0000 0.5000 0.8827
6 Hg 0.5000 0.0000 0.1173
7 Hg 0.5000 0.0000 0.3694
8 Hg 0.5000 0.5000 0.0000
9 Hg 0.5000 0.5000 0.5000
10 Bi 0.0000 0.0000 0.5000

***

[5]
For K3Hg2Bi, DFT lattice parameters and positions (PBE) gives the calculated powder diffractogram in this record (Cu Ka).

Most intense lines, 2θ from 15° to 90°, by intensity:
Position (°2θ)	d (Å)	I (rel.)
17.75	4.998	1000
33.07	2.709	593
17.07	5.196	591
29.40	3.038	499
18.49	4.798	416
33.19	2.699	416
18.92	4.692	411
27.52	3.241	409
34.41	2.607	380
33.50	2.675	377

Structure:
abc: 8.2858 10.5917 11.6432
angles: 90.00 103.17 90.00
Fractional positions:
1 K 0.1173 0.0775 0.3783
2 K 0.1173 0.4225 0.8783
3 K 0.2684 0.0726 0.0270
4 K 0.2684 0.4274 0.5270
5 K 0.3684 0.6797 0.1799
6 K 0.3684 0.8203 0.6799
7 K 0.6316 0.1797 0.3201
8 K 0.6316 0.3203 0.8201
9 K 0.7316 0.5726 0.4730
10 K 0.7316 0.9274 0.9730
11 K 0.8827 0.5775 0.1217
12 K 0.8827 0.9225 0.6217
13 Hg 0.1055 0.7255 0.4136
14 Hg 0.1055 0.7745 0.9136
15 Hg 0.4740 0.6092 0.9060
16 Hg 0.4740 0.8908 0.4060
17 Hg 0.5260 0.1092 0.5940
18 Hg 0.5260 0.3908 0.0940
19 Hg 0.8945 0.2255 0.0864
20 Hg 0.8945 0.2745 0.5864
21 Bi 0.2353 0.1493 0.7192
22 Bi 0.2353 0.3507 0.2192
23 Bi 0.7647 0.6493 0.7808
24 Bi 0.7647 0.8507 0.2808

***

[6]
For KHgBi, DFT lattice parameters and positions (PBE) gives the calculated powder diffractogram in this record (Cu Ka).

Most intense lines, 2θ from 15° to 90°, by intensity:
Position (°2θ)	d (Å)	I (rel.)
16.27	5.447	1000
35.77	2.510	761
20.61	4.309	346
28.12	3.174	284
24.53	3.628	247
39.66	2.272	238
39.54	2.279	237
39.40	2.287	235
32.89	2.724	214
49.38	1.845	176

Structure:
abc: 8.6965 5.0191 11.3015
angles: 90.00 105.43 90.00
Fractional positions:
1 K 0.0000 0.0000 0.0000
2 K 0.1661 0.0000 0.4819
3 K 0.5000 0.5000 0.0000
4 K 0.6661 0.5000 0.4819
5 Hg 0.4017 0.5000 0.6813
6 Hg 0.4080 0.0000 0.2177
7 Hg 0.9017 0.0000 0.6813
8 Hg 0.9080 0.5000 0.2177
9 Bi 0.0858 0.5000 0.7328
10 Bi 0.2522 0.5000 0.2490
11 Bi 0.5858 0.0000 0.7328
12 Bi 0.7522 0.0000 0.2490

***

[7]
For K5Hg6Bi, DFT lattice parameters and positions (PBE) gives the calculated powder diffractogram in this record (Cu Ka).

Most intense lines, 2θ from 15° to 90°, by intensity:
Position (°2θ)	d (Å)	I (rel.)
30.07	2.972	1000
22.77	3.905	222
32.16	2.783	221
32.68	2.741	176
56.05	1.641	174
19.38	4.581	172
46.51	1.953	132
39.34	2.290	126
52.04	1.757	120
51.69	1.768	114

Structure:
abc: 9.8132 9.8132 5.5661
angles: 106.45 106.45 113.82
Fractional positions:
1 K 0.0000 0.0000 0.0000
2 K 0.1747 0.8253 0.5000
3 K 0.3440 0.6560 0.0000
4 K 0.6560 0.3440 0.0000
5 K 0.8253 0.1747 0.5000
6 Hg 0.1041 0.4062 0.2552
7 Hg 0.2425 0.2425 0.7420
8 Hg 0.4062 0.1041 0.2552
9 Hg 0.5938 0.8959 0.7448
10 Hg 0.7575 0.7575 0.2580
11 Hg 0.8959 0.5938 0.7448
12 Bi 0.5000 0.5000 0.5000

***

[8]
For KHg4Bi2, DFT lattice parameters and positions (PBE) gives the calculated powder diffractogram in this record (Cu Ka).

Most intense lines, 2θ from 15° to 90°, by intensity:
Position (°2θ)	d (Å)	I (rel.)
36.29	2.475	1000
28.86	3.094	582
32.87	2.725	385
34.86	2.574	331
48.66	1.871	262
60.93	1.521	246
63.44	1.466	204
16.26	5.450	177
18.05	4.914	169
77.05	1.238	122

Structure:
abc: 5.1478 16.5030 5.4497
angles: 90.00 90.00 90.00
Fractional positions:
1 K 0.0000 0.0000 0.0000
2 K 0.5000 0.5000 0.0000
3 Hg 0.0000 0.1915 0.5000
4 Hg 0.0000 0.3030 0.0000
5 Hg 0.0000 0.6970 0.0000
6 Hg 0.0000 0.8085 0.5000
7 Hg 0.5000 0.1970 0.0000
8 Hg 0.5000 0.3085 0.5000
9 Hg 0.5000 0.6915 0.5000
10 Hg 0.5000 0.8030 0.0000
11 Bi 0.0000 0.4059 0.5000
12 Bi 0.0000 0.5941 0.5000
13 Bi 0.5000 0.0941 0.5000
14 Bi 0.5000 0.9059 0.5000

***

[9]
For KNaHg2Bi, DFT lattice parameters and positions (PBE) gives the calculated powder diffractogram in this record (Cu Ka).

Most intense lines, 2θ from 15° to 90°, by intensity:
Position (°2θ)	d (Å)	I (rel.)
37.27	2.413	1000
18.42	4.815	800
19.04	4.660	777
28.36	3.147	618
34.61	2.592	404
35.99	2.496	364
27.23	3.275	364
26.80	3.327	315
38.70	2.327	309
50.79	1.798	275

Structure:
abc: 4.9913 5.1832 13.0166
angles: 90.00 90.00 90.00
Fractional positions:
1 K 0.0000 0.0000 0.0000
2 K 0.5000 0.5000 0.5000
3 Na 0.0000 0.5000 0.7383
4 Na 0.5000 0.0000 0.2383
5 Hg 0.0000 0.0000 0.3793
6 Hg 0.0000 0.5000 0.2475
7 Hg 0.5000 0.0000 0.7475
8 Hg 0.5000 0.5000 0.8793
9 Bi 0.0000 0.0000 0.6077
10 Bi 0.5000 0.5000 0.1077

***

[10]
For K2Hg6BiPb, DFT lattice parameters and positions (PBE) gives the calculated powder diffractogram in this record (Cu Ka).

Most intense lines, 2θ from 15° to 90°, by intensity:
Position (°2θ)	d (Å)	I (rel.)
27.70	3.220	1000
34.08	2.631	764
42.21	2.141	483
17.02	5.208	445
34.44	2.604	387
38.65	2.329	220
55.56	1.654	198
46.63	1.948	175
72.38	1.306	155
71.76	1.315	151

Structure:
abc: 8.6479 10.4169 8.1935
angles: 90.00 90.00 90.00
Fractional positions:
1 K 0.2500 0.0164 0.2477
2 K 0.2500 0.4836 0.2477
3 K 0.7500 0.5164 0.7523
4 K 0.7500 0.9836 0.7523
5 Hg 0.0811 0.7500 0.9904
6 Hg 0.0816 0.2500 0.5443
7 Hg 0.2500 0.5301 0.7886
8 Hg 0.2500 0.9699 0.7886
9 Hg 0.4184 0.2500 0.5443
10 Hg 0.4189 0.7500 0.9904
11 Hg 0.5811 0.2500 0.0096
12 Hg 0.5816 0.7500 0.4557
13 Hg 0.7500 0.0301 0.2114
14 Hg 0.7500 0.4699 0.2114
15 Hg 0.9184 0.7500 0.4557
16 Hg 0.9189 0.2500 0.0096
17 Bi 0.2500 0.7500 0.5403
18 Bi 0.7500 0.2500 0.4597
19 Pb 0.2500 0.2500 0.9012
20 Pb 0.7500 0.7500 0.0988

***

[11]
For K2Hg4Bi2Pd, DFT lattice parameters and positions (PBE) gives the calculated powder diffractogram in this record (Cu Ka).

Most intense lines, 2θ from 15° to 90°, by intensity:
Position (°2θ)	d (Å)	I (rel.)
30.35	2.945	1000
34.63	2.590	538
17.11	5.181	304
59.42	1.555	278
51.02	1.790	262
49.78	1.832	187
38.72	2.326	185
36.28	2.476	180
17.91	4.952	151
63.14	1.473	132

Structure:
abc: 7.1670 7.1670 7.1670
angles: 118.52 118.52 92.59
Fractional positions:
1 K 0.2500 0.7500 0.5000
2 K 0.7500 0.2500 0.5000
3 Hg 0.2356 0.2356 0.4713
4 Hg 0.2356 0.7644 0.0000
5 Hg 0.7644 0.2356 0.0000
6 Hg 0.7644 0.7644 0.5287
7 Bi 0.2086 0.2086 0.0000
8 Bi 0.7914 0.7914 0.0000
9 Pd 0.5000 0.5000 0.0000

***

[12]
For KRb2Hg2Bi2, DFT lattice parameters and positions (PBE) gives the calculated powder diffractogram in this record (Cu Ka).

Most intense lines, 2θ from 15° to 90°, by intensity:
Position (°2θ)	d (Å)	I (rel.)
33.00	2.714	1000
28.69	3.112	752
16.01	5.535	589
36.88	2.437	483
53.40	1.716	447
26.69	3.339	324
41.29	2.187	264
19.63	4.523	238
44.28	2.045	233
56.32	1.634	229

Structure:
abc: 11.5056 11.5056 11.5056
angles: 27.29 27.29 27.29
Fractional positions:
1 K 0.0000 0.0000 0.0000
2 Rb 0.1282 0.1282 0.1282
3 Rb 0.8718 0.8718 0.8718
4 Hg 0.3957 0.3957 0.3957
5 Hg 0.6043 0.6043 0.6043
6 Bi 0.2626 0.2626 0.2626
7 Bi 0.7374 0.7374 0.7374